Diffraction record for LiMn2O4. The XRD peak list is theoretical, not measured: it uses a PBE+U-relaxed structure and Cu Kα, 1.54184 Å.
Kinematic intensities with the Lorentz-polarization factor, no thermal factor.

Main lines, by angle (15 to 90 degrees two-theta):
2θ = 18.1°, rel. 886, (0 0 2)
2θ = 19.7°, rel. 1000, (1 0 1)
2θ = 25.3°, rel. 337, (1 0 2)
2θ = 32.6°, rel. 427, (1 0 3)
2θ = 35.7°, rel. 601, (1 1 2)
2θ = 36.6°, rel. 554, (2 0 1)
2θ = 40.0°, rel. 424, (2 0 2)
2θ = 45.3°, rel. 638, (2 0 3)
2θ = 59.6°, rel. 527, (2 0 5)
2θ = 63.5°, rel. 434, (2 2 0)

Structure:
abc: 5.860 5.860 9.793
angles: 90.00 90.00 120.00
Atoms (fractional coordinates):
Li (0.000, 0.000, 0.000)
Li (0.000, 0.000, 0.500)
Li (0.333, 0.667, 0.387)
Li (0.667, 0.333, 0.887)
Mn (0.169, 0.337, 0.718)
Mn (0.169, 0.831, 0.718)
Mn (0.333, 0.667, 0.996)
Mn (0.337, 0.169, 0.218)
Mn (0.663, 0.831, 0.718)
Mn (0.667, 0.333, 0.496)
Mn (0.831, 0.169, 0.218)
Mn (0.831, 0.663, 0.218)
O (0.000, 0.000, 0.314)
O (0.000, 0.000, 0.814)
O (0.034, 0.517, 0.831)
O (0.158, 0.315, 0.110)
O (0.158, 0.842, 0.110)
O (0.315, 0.158, 0.610)
O (0.333, 0.667, 0.612)
O (0.483, 0.517, 0.831)
O (0.483, 0.966, 0.831)
O (0.517, 0.034, 0.331)
O (0.517, 0.483, 0.331)
O (0.667, 0.333, 0.112)
O (0.685, 0.842, 0.110)
O (0.842, 0.158, 0.610)
O (0.842, 0.685, 0.610)
O (0.966, 0.483, 0.331)